Record 1
Simulated PXRD pattern
Compound: TmGaSiNi3
Radiation: Cu Kα (λ = 1.5418 Å)
Structure: a structure optimized by DFT (PBE)

Principal peaks in the range 2θ = 10–90°, in order of rising 2θ:
23.48°, I = 63
28.97°, I = 48
33.11°, I = 61
33.79°, I = 25
36.02°, I = 72
37.45°, I = 55
44.27°, I = 33
45.09°, I = 100
46.08°, I = 34
46.87°, I = 68

Crystal structure
a b c (Å): 6.435 6.435 5.306
angles (deg): 90.00 90.00 122.77
Sites, in units of the cell vectors:
Tm (0.207, 0.793, 0.750)
Tm (0.793, 0.207, 0.250)
Ga (0.454, 0.546, 0.750)
Ga (0.546, 0.454, 0.250)
Si (0.131, 0.869, 0.250)
Si (0.869, 0.131, 0.750)
Ni (0.196, 0.196, 0.000)
Ni (0.196, 0.196, 0.500)
Ni (0.332, 0.668, 0.250)
Ni (0.668, 0.332, 0.750)
Ni (0.804, 0.804, 0.000)
Ni (0.804, 0.804, 0.500)

---

Record 2
Simulated PXRD pattern
Compound: Tm2GaSi4Ni3
Radiation: Cu Kα (λ = 1.5418 Å)
Structure: a structure optimized by DFT (PBE)

Principal peaks in the range 2θ = 10–90°, in order of rising 2θ:
24.52°, I = 37
32.48°, I = 26
35.48°, I = 75
37.27°, I = 100
46.60°, I = 45
51.44°, I = 29
59.90°, I = 32
65.55°, I = 14
71.91°, I = 21
80.21°, I = 21

Crystal structure
a b c (Å): 3.898 3.898 9.978
angles (deg): 90.00 90.00 90.00
Sites, in units of the cell vectors:
Tm (0.000, 0.500, 0.241)
Tm (0.500, 0.000, 0.759)
Ga (0.000, 0.000, 0.500)
Si (0.000, 0.000, 0.000)
Si (0.000, 0.500, 0.649)
Si (0.500, 0.000, 0.351)
Si (0.500, 0.500, 0.000)
Ni (0.000, 0.500, 0.875)
Ni (0.500, 0.000, 0.125)
Ni (0.500, 0.500, 0.500)

---

Record 3
Simulated PXRD pattern
Compound: SmGa6Ni6
Radiation: Cu Kα (λ = 1.5418 Å)
Structure: a structure optimized by DFT (PBE)

Principal peaks in the range 2θ = 10–90°, in order of rising 2θ:
35.69°, I = 62
36.99°, I = 19
41.44°, I = 61
41.96°, I = 100
42.59°, I = 35
43.46°, I = 31
47.08°, I = 52
68.41°, I = 22
75.60°, I = 28
78.74°, I = 28

Crystal structure
a b c (Å): 6.532 6.532 6.532
angles (deg): 134.72 100.79 96.26
Sites, in units of the cell vectors:
Sm (0.000, 0.000, 0.000)
Ga (0.188, 0.688, 0.500)
Ga (0.344, 0.000, 0.344)
Ga (0.346, 0.346, 0.000)
Ga (0.654, 0.654, 0.000)
Ga (0.656, 0.000, 0.656)
Ga (0.812, 0.312, 0.500)
Ni (0.000, 0.000, 0.500)
Ni (0.000, 0.500, 0.000)
Ni (0.239, 0.500, 0.739)
Ni (0.500, 0.000, 0.000)
Ni (0.500, 0.500, 0.500)
Ni (0.761, 0.500, 0.261)